Diffraction record for CaFe6O4F8. The PXRD pattern is theoretical, not measured: it uses DFT lattice parameters and positions (PBE+U) and a wavelength of 1.5418 Å.
Peak positions follow from Bragg's law for the DFT cell and can differ from measured ones.

Structure:
a b c (Å): 5.7393 5.8163 7.8174
angles (deg): 74.48 76.27 70.68
Fractional positions:
1 Ca 0.0000 0.0000 0.0000
2 Fe 0.0068 0.4390 0.2028
3 Fe 0.0830 0.5560 0.6380
4 Fe 0.3486 0.8409 0.3355
5 Fe 0.5063 0.3668 0.9827
6 Fe 0.5309 0.8596 0.7555
7 Fe 0.7128 0.2049 0.4901
8 O 0.0130 0.8903 0.4826
9 O 0.2801 0.1522 0.1379
10 O 0.4214 0.5117 0.4919
11 O 0.7709 0.5434 0.8225
12 F 0.2214 0.6646 0.8262
13 F 0.2340 0.1765 0.7704
14 F 0.2711 0.6665 0.1514
15 F 0.4914 0.9725 0.4857
16 F 0.7065 0.0904 0.8108
17 F 0.7349 0.7604 0.1748
18 F 0.7465 0.2554 0.1860
19 F 0.9674 0.4084 0.4766

Peak list (6 most intense, 2θ = 15–90°, in order of rising 2θ)
2theta, intensity
26.0, 100
26.7, 30
29.0, 29
32.0, 24
38.2, 21
50.6, 21